For Cs3LiF4, a structure optimized by DFT (PBE) gives the calculated powder diffraction line list in this record (Cu Kα (weighted mean of Kα1 and Kα2)).

Main lines, by angle (10° ≤ 2θ ≤ 80°):
Position (°2θ)  Rel. int.  hkl
24.67  100  3 1 -1
26.99  86  1 1 2
29.00  64  0 2 0
30.23  58  2 0 -3
30.57  55  4 0 1
40.50  22  6 0 -2
42.38  37  2 2 -3
42.64  38  4 2 1
50.58  19  6 2 -2
55.66  17  2 2 4

Atomic structure:
Cell lengths 13.884, 6.158, 9.051 Å; angles 90.00, 103.75, 90.00 degrees
Space group C2/m (No. 12)
Asymmetric unit:
1 Cs 0.072 0.000 0.233
2 Cs 0.134 0.500 0.902
3 Cs 0.191 0.000 0.646
4 Li 0.080 0.500 0.457
5 F 0.000 0.266 0.500
6 F 0.088 0.500 0.245
7 F 0.144 0.000 0.950
8 F 0.205 0.500 0.605

***

For Na3AlF6, a structure optimized by DFT (PBE) gives the calculated powder diffraction line list in this record (Cu Kα (weighted mean of Kα1 and Kα2)).

Main lines, by angle (10° ≤ 2θ ≤ 80°):
Position (°2θ)  Rel. int.  hkl
19.26  28  0 1 1
22.56  36  1 1 -1
32.11  94  1 1 1
37.92  25  1 0 2
38.26  30  2 1 -3
39.09  22  0 2 2
46.05  100  0 0 4
52.42  26  1 3 0
56.85  21  0 2 4
57.95  33  3 1 -1

Atomic structure:
Cell lengths 5.473, 5.681, 9.582 Å; angles 90.00, 124.62, 90.00 degrees
Space group P2_1/c (No. 14)
Asymmetric unit:
1 Na 0.000 0.000 0.000
2 Na 0.231 0.054 0.746
3 Al 0.500 0.000 0.500
4 F 0.180 0.174 0.453
5 F 0.269 0.732 0.433
6 F 0.390 0.049 0.282

***

For Ac3Cd, a structure optimized by DFT (PBE) gives the calculated powder diffraction line list in this record (Cu Kα (weighted mean of Kα1 and Kα2)).

Main lines, by angle (10° ≤ 2θ ≤ 80°):
Position (°2θ)  Rel. int.  hkl
28.83  100  1 1 2
31.83  19  0 0 4
34.19  32  2 0 0
47.40  26  2 0 4
49.12  12  2 2 0
54.88  17  1 1 6
57.96  29  3 1 2
59.73  13  2 2 4
76.72  13  3 1 6
76.95  6  2 0 8

Atomic structure:
Cell lengths 5.246, 5.246, 11.247 Å; angles 90.00, 90.00, 90.00 degrees
Space group I4/mmm (No. 139)
Asymmetric unit:
1 Ac 0.000 0.000 0.000
2 Ac 0.000 0.500 0.250
3 Cd 0.000 0.000 0.500

***

For K2PtI6, a structure optimized by DFT (PBE) gives the calculated powder diffraction line list in this record (Cu Kα (weighted mean of Kα1 and Kα2)).

Main lines, by angle (10° ≤ 2θ ≤ 80°):
Position (°2θ)  Rel. int.  hkl
13.58  100  1 0 1
14.71  45  0 0 2
16.16  53  1 1 0
25.67  27  2 1 0
26.74  27  2 1 1
27.35  91  2 0 2
29.69  98  0 0 4
32.64  72  2 2 0
36.63  33  3 1 0
44.69  58  2 2 4

Atomic structure:
Cell lengths 7.759, 7.759, 12.043 Å; angles 90.00, 90.00, 90.00 degrees
Space group P4/mnc (No. 128)
Asymmetric unit:
1 K 0.000 0.500 0.250
2 Pt 0.000 0.000 0.000
3 I 0.000 0.000 0.225
4 I 0.194 0.292 0.000

***

For Er2MgNb2O8, a structure optimized by DFT (PBE) gives the calculated powder diffraction line list in this record (Cu Kα (weighted mean of Kα1 and Kα2)).

Main lines, by angle (10° ≤ 2θ ≤ 80°):
Position (°2θ)  Rel. int.  hkl
14.06  18  0 1 0
21.67  32  0 1 1
22.35  44  1 1 0
25.82  100  1 1 -1
29.77  60  1 1 1
32.91  21  0 2 1
33.18  26  0 0 2
34.99  24  2 0 0
38.90  35  1 2 1
43.90  29  2 0 -2

Atomic structure:
Cell lengths 5.221, 6.301, 5.498 Å; angles 90.00, 100.79, 90.00 degrees
Space group P2 (No. 3)
Asymmetric unit:
1 Er 0.000 0.000 0.000
2 Er 0.500 0.402 0.000
3 Mg 0.000 0.266 0.500
4 Nb 0.000 0.730 0.500
5 Nb 0.500 0.964 0.500
6 O 0.183 0.506 0.716
7 O 0.201 0.009 0.688
8 O 0.265 0.779 0.250
9 O 0.297 0.210 0.246